Entry 1:
The following is a theoretical powder diffractogram of KIn4Ru. It was derived from a PBE-relaxed structure, using λ = 1.5418 Å (Cu Kα).
Peak positions follow from Bragg's law for the DFT cell and can differ from measured ones.

The 8 most intense peaks (2θ from 5° to 70°), sorted by position:
2theta  Rel. int.
18.29  29
30.08  14
35.43  100
37.07  57
43.06  13
47.15  7
56.95  32
62.54  29

Structure:
```
data_KIn4Ru
_symmetry_space_group_name_H-M 'F -4 3 m'
_symmetry_Int_Tables_number 216
_symmetry_space_group_name_Hall 'F -4 2 3'
_cell_length_a 8.402
_cell_length_b 8.402
_cell_length_c 8.402
_cell_angle_alpha 90.00
_cell_angle_beta 90.00
_cell_angle_gamma 90.00
loop_
_atom_site_label
_atom_site_fract_x
_atom_site_fract_y
_atom_site_fract_z
_atom_site_occupancy
K1 0.000 0.000 0.000 1
In1 0.124 0.124 0.376 1
Ru1 0.250 0.250 0.750 1
```



Entry 2:
The following is a theoretical powder diffractogram of LaSm4Er4. It was derived from a PBE-relaxed structure, using λ = 1.5418 Å (Cu Kα).
Peak positions follow from Bragg's law for the DFT cell and can differ from measured ones.

The 8 most intense peaks (2θ from 5° to 70°), sorted by position:
2theta  Rel. int.
30.50  100
35.36  51
50.87  30
50.93  6
60.40  4
60.46  21
60.53  18
63.48  12

Structure:
```
data_LaSm4Er4
_symmetry_space_group_name_H-M 'P -1'
_symmetry_Int_Tables_number 2
_cell_length_a 6.217
_cell_length_b 9.501
_cell_length_c 10.759
_cell_angle_alpha 100.80
_cell_angle_beta 106.78
_cell_angle_gamma 96.23
loop_
_symmetry_equiv_pos_as_xyz
'x,y,z'
'-x,-y,-z'
loop_
_atom_site_label
_atom_site_fract_x
_atom_site_fract_y
_atom_site_fract_z
_atom_site_occupancy
La1 0.250 0.084 0.303 1
Sm1 0.249 0.747 0.082 1
Sm2 0.250 0.748 0.751 1
Sm3 0.251 0.085 0.641 1
Sm4 0.252 0.418 0.529 1
Er1 0.245 0.747 0.414 1
Er2 0.250 0.417 0.863 1
Er3 0.250 0.419 0.192 1
Er4 0.253 0.085 0.972 1
```



Entry 3:
The following is a theoretical powder diffractogram of LiTi2Zn2P2O10. It was derived from a PBE-relaxed structure, using λ = 1.5418 Å (Cu Kα).
Peak positions follow from Bragg's law for the DFT cell and can differ from measured ones.

The 8 most intense peaks (2θ from 5° to 70°), sorted by position:
2theta  Rel. int.
17.67  29
26.74  78
27.31  100
27.97  21
34.23  54
35.09  26
37.27  25
42.90  29

Structure:
```
data_LiTi2Zn2P2O10
_symmetry_space_group_name_H-M 'P 1'
_symmetry_Int_Tables_number 1
_cell_length_a 5.371
_cell_length_b 5.756
_cell_length_c 7.078
_cell_angle_alpha 106.54
_cell_angle_beta 106.94
_cell_angle_gamma 96.52
loop_
_symmetry_equiv_pos_as_xyz
'x,y,z'
loop_
_atom_site_label
_atom_site_fract_x
_atom_site_fract_y
_atom_site_fract_z
_atom_site_occupancy
Li1 0.000 0.000 0.000 1
Ti1 0.453 0.070 0.783 1
Ti2 0.529 0.099 0.283 1
Zn1 0.232 0.422 0.515 1
Zn2 0.678 0.653 0.038 1
P1 0.147 0.482 0.035 1
P2 0.802 0.714 0.539 1
O1 0.055 0.876 0.721 1
O2 0.189 0.766 0.130 1
O3 0.237 0.342 0.195 1
O4 0.311 0.418 0.883 1
O5 0.404 0.146 0.525 1
O6 0.561 0.712 0.621 1
O7 0.647 0.982 0.032 1
O8 0.745 0.815 0.353 1
O9 0.843 0.380 0.916 1
O10 0.849 0.442 0.457 1
```



Entry 4:
The following is a theoretical powder diffractogram of Sr2LaAs2. It was derived from a PBE-relaxed structure, using λ = 1.5418 Å (Cu Kα).
Peak positions follow from Bragg's law for the DFT cell and can differ from measured ones.

The 8 most intense peaks (2θ from 5° to 70°), sorted by position:
2theta  Rel. int.
25.47  39
30.05  15
31.52  100
33.70  65
36.68  15
41.77  20
54.71  32
63.32  17

Structure:
```
data_Sr2LaAs2
_symmetry_space_group_name_H-M 'P 4/m b m'
_symmetry_Int_Tables_number 127
_symmetry_space_group_name_Hall '-P 4 2ab'
_cell_length_a 8.410
_cell_length_b 8.410
_cell_length_c 4.325
_cell_angle_alpha 90.00
_cell_angle_beta 90.00
_cell_angle_gamma 90.00
loop_
_atom_site_label
_atom_site_fract_x
_atom_site_fract_y
_atom_site_fract_z
_atom_site_occupancy
Sr1 0.141 0.359 0.000 1
La1 0.000 0.000 0.500 1
As1 0.167 0.667 0.500 1
```



Entry 5:
The following is a theoretical powder diffractogram of Na3In7Ga2. It was derived from a PBE-relaxed structure, using λ = 1.5418 Å (Cu Kα).
Peak positions follow from Bragg's law for the DFT cell and can differ from measured ones.

The 8 most intense peaks (2θ from 5° to 70°), sorted by position:
2theta  Rel. int.
16.63  12
18.09  26
33.07  100
33.20  46
34.09  44
36.65  35
37.40  34
41.90  24

Structure:
```
data_Na3In7Ga2
_symmetry_space_group_name_H-M 'P -1'
_symmetry_Int_Tables_number 2
_cell_length_a 5.777
_cell_length_b 5.929
_cell_length_c 9.979
_cell_angle_alpha 96.84
_cell_angle_beta 96.50
_cell_angle_gamma 113.90
loop_
_symmetry_equiv_pos_as_xyz
'x,y,z'
'-x,-y,-z'
loop_
_atom_site_label
_atom_site_fract_x
_atom_site_fract_y
_atom_site_fract_z
_atom_site_occupancy
Na1 0.000 0.000 0.000 1
Na2 0.122 0.123 0.353 1
In1 0.064 0.560 0.173 1
In2 0.284 0.718 0.500 1
In3 0.439 0.939 0.827 1
In4 0.500 0.500 0.000 1
Ga1 0.380 0.383 0.689 1
```



Entry 6:
The following is a theoretical powder diffractogram of SiAg4Ru. It was derived from a PBE-relaxed structure, using λ = 1.5418 Å (Cu Kα).
Peak positions follow from Bragg's law for the DFT cell and can differ from measured ones.

The 8 most intense peaks (2θ from 5° to 70°), sorted by position:
2theta  Rel. int.
20.31  35
23.49  5
33.46  13
39.46  100
41.29  58
48.05  13
52.68  8
63.86  30

Structure:
```
data_SiAg4Ru
_symmetry_space_group_name_H-M 'F -4 3 m'
_symmetry_Int_Tables_number 216
_symmetry_space_group_name_Hall 'F -4 2 3'
_cell_length_a 7.574
_cell_length_b 7.574
_cell_length_c 7.574
_cell_angle_alpha 90.00
_cell_angle_beta 90.00
_cell_angle_gamma 90.00
loop_
_atom_site_label
_atom_site_fract_x
_atom_site_fract_y
_atom_site_fract_z
_atom_site_occupancy
Si1 0.000 0.000 0.000 1
Ag1 0.125 0.125 0.625 1
Ru1 0.250 0.250 0.250 1
```



Entry 7:
The following is a theoretical powder diffractogram of Pb2Se2O7. It was derived from a PBE-relaxed structure, using λ = 1.5418 Å (Cu Kα).
Peak positions follow from Bragg's law for the DFT cell and can differ from measured ones.

The 8 most intense peaks (2θ from 5° to 70°), sorted by position:
2theta  Rel. int.
18.30  23
24.89  21
25.62  62
26.38  100
28.82  64
30.46  24
31.08  30
44.04  40

Structure:
```
data_Pb2Se2O7
_symmetry_space_group_name_H-M 'C 1 2/m 1'
_symmetry_Int_Tables_number 12
_cell_length_a 8.372
_cell_length_b 9.426
_cell_length_c 4.937
_cell_angle_alpha 90.00
_cell_angle_beta 100.93
_cell_angle_gamma 90.00
loop_
_symmetry_equiv_pos_as_xyz
'x,y,z'
'-x,-y,-z'
'-x,y,-z'
'x,-y,z'
'x+1/2,y+1/2,z'
'-x+1/2,-y+1/2,-z'
'-x+1/2,y+1/2,-z'
'x+1/2,-y+1/2,z'
loop_
_atom_site_label
_atom_site_fract_x
_atom_site_fract_y
_atom_site_fract_z
_atom_site_occupancy
Pb1 0.000 0.208 0.000 1
Se1 0.232 0.500 0.435 1
O1 0.000 0.500 0.500 1
O2 0.112 0.000 0.275 1
O3 0.230 0.146 0.749 1
```